Structure and computed XRD peak list of SrWO4 (the PBE+U geometry in the Materials Project; Cu Kα X-rays).

Top 12 peaks for 10° ≤ 2θ ≤ 90°, low angle first:
- 17.62°, 5.034 Å, intensity 20.5, (1 0 1)
- 27.15°, 3.284 Å, intensity 100.0, (1 1 2)
- 27.43°, 3.251 Å, intensity 8.3, (1 0 3)
- 29.66°, 3.012 Å, intensity 14.9, (0 0 4)
- 32.32°, 2.770 Å, intensity 22.9, (2 0 0)
- 44.43°, 2.039 Å, intensity 29.8, (2 0 4)
- 46.35°, 1.959 Å, intensity 12.5, (2 2 0)
- 51.12°, 1.787 Å, intensity 17.0, (1 1 6)
- 54.55°, 1.682 Å, intensity 28.2, (1 3 2)
- 56.00°, 1.642 Å, intensity 13.3, (2 2 4)
- 71.46°, 1.320 Å, intensity 13.5, (3 1 6)
- 84.58°, 1.146 Å, intensity 8.2, (4 2 4)

Cell: 5.5403 5.5403 12.0466 Å, 90.00 90.00 90.00°
Space group I4_1/a (No. 88, origin choice 2)
Asymmetric unit:
Sr 0.0000 0.2500 0.1250 x4
W 0.0000 0.2500 0.6250 x4
O 0.1384 0.4877 0.7085 x16